Starting from a DFT-relaxed cell (GGA-PBE, Alexandria), the powder X-ray diffraction pattern of Cs2KSi2S6 was computed for Cu Kα, 1.54184 Å.
Peak positions follow from Bragg's law for the DFT cell and can differ from measured ones.

Structural model:
Cell: 7.2766 7.2766 27.0322 Å, 90.00 90.00 120.00°
Space group R-3m (No. 166, hexagonal axes)
Inequivalent atoms, fractional coordinates:
Cs (0.0000, 0.0000, 0.2074) x6
K (0.0000, 0.0000, 0.0000) x3
Si (0.0000, 0.0000, 0.4230) x6
S (0.0100, 0.5050, 0.2428) x18

Largest 10 diffraction maxima, low angle first, 2θ from 10° to 90°:
Position (°2θ)	I (rel.)
21.66	100
24.47	57
26.42	22
29.10	53
31.32	42
32.90	45
36.16	27
41.43	30
50.15	27
51.11	20